This entry pairs a crystal structure of Sr2CdC2O6 with its computed powder XRD pattern. Radiation: copper Kα. Structure: a cell relaxed with PBE.
Lines closer than 0.1° are merged.

Structure:
```
Sr2CdC2O6
1.0
5.3760 0.0000 0.0000
-2.6880 4.6558 0.0000
0.0000 0.0000 5.8869
Sr Cd C O
2 1 2 6
Direct
0.3333 0.6667 0.3232
0.6667 0.3333 0.6768
0.0000 0.0000 0.0000
0.3333 0.6667 0.8145
0.6667 0.3333 0.1855
0.1913 0.3826 0.7464
0.1913 0.8087 0.7464
0.3826 0.1913 0.2536
0.6174 0.8087 0.7464
0.8087 0.1913 0.2536
0.8087 0.6174 0.2536
```

The 12 most intense peaks (2θ = 10–90°), in order of rising 2θ:
two_theta, I_rel, h k l
24.37, 100, 0 1 1
33.33, 66, 1 1 0
36.10, 63, 1 0 2
41.72, 52, 2 0 1
49.95, 32, 0 2 2
54.42, 28, 1 2 1
58.21, 23, 1 1 3
59.57, 11, 3 0 0
61.38, 19, 2 1 2
70.00, 12, 2 2 0
81.38, 12, 1 3 2
86.14, 11, 1 2 4